(1)
Structure and theoretical X-ray powder pattern of BS4Cl (DFT lattice parameters and positions (GGA-PBE); Cu Ka).
Lines closer than 0.1° are merged.

```
data_BS4Cl
_symmetry_space_group_name_H-M 'I 41/a m d'
_symmetry_Int_Tables_number 141
_cell_length_a 6.5396
_cell_length_b 6.5396
_cell_length_c 14.5205
_cell_angle_alpha 90.00
_cell_angle_beta 90.00
_cell_angle_gamma 90.00
loop_
_symmetry_equiv_pos_as_xyz
'x,y,z'
'-x,-y,-z'
'-y+1/4,x+3/4,z+1/4'
'y+1/4,-x+3/4,-z+1/4'
'-x+1/2,-y,z+1/2'
'x+1/2,y,-z+1/2'
'y+1/4,-x+1/4,z+3/4'
'-y+1/4,x+1/4,-z+3/4'
'x,-y,-z'
'-x,y,z'
'-y+1/4,-x+1/4,-z+3/4'
'y+1/4,x+1/4,z+3/4'
'-x+1/2,y,-z+1/2'
'x+1/2,-y,z+1/2'
'y+1/4,x+3/4,-z+1/4'
'-y+1/4,-x+3/4,z+1/4'
'x+1/2,y+1/2,z+1/2'
'-x+1/2,-y+1/2,-z+1/2'
'-y+3/4,x+1/4,z+3/4'
'y+3/4,-x+1/4,-z+3/4'
'-x,-y+1/2,z'
'x,y+1/2,-z'
'y+3/4,-x+3/4,z+1/4'
'-y+3/4,x+3/4,-z+1/4'
'x+1/2,-y+1/2,-z+1/2'
'-x+1/2,y+1/2,z+1/2'
'-y+3/4,-x+3/4,-z+1/4'
'y+3/4,x+3/4,z+1/4'
'-x,y+1/2,-z'
'x,-y+1/2,z'
'y+3/4,x+1/4,-z+3/4'
'-y+3/4,-x+1/4,z+3/4'
loop_
_atom_site_label
_atom_site_type_symbol
_atom_site_fract_x
_atom_site_fract_y
_atom_site_fract_z
B1 B 0.0000 0.2500 0.3750
S1 S 0.0000 0.0147 0.5690
Cl1 Cl 0.0000 0.2500 0.8750
```

Top 8 peaks for 2θ = 10–80°, by intensity:
2θ/deg, intensity, h k l
31.2, 1000, 2 1 1
14.9, 847, 1 0 1
30.0, 620, 2 0 2
22.8, 567, 1 0 3
46.7, 271, 2 0 6
65.4, 199, 2 2 8
50.7, 184, 3 2 1
56.3, 169, 4 0 0


(2)
Structure and theoretical X-ray powder pattern of Sc4BCl6 (DFT lattice parameters and positions (GGA-PBE); Cu Ka).
Lines closer than 0.1° are merged.

```
data_Sc4BCl6
_symmetry_space_group_name_H-M 'P b a m'
_symmetry_Int_Tables_number 55
_cell_length_a 12.0574
_cell_length_b 12.2862
_cell_length_c 3.6084
_cell_angle_alpha 90.00
_cell_angle_beta 90.00
_cell_angle_gamma 90.00
loop_
_symmetry_equiv_pos_as_xyz
'x,y,z'
'-x,-y,-z'
'-x,-y,z'
'x,y,-z'
'x+1/2,-y+1/2,-z'
'-x+1/2,y+1/2,z'
'-x+1/2,y+1/2,-z'
'x+1/2,-y+1/2,z'
loop_
_atom_site_label
_atom_site_type_symbol
_atom_site_fract_x
_atom_site_fract_y
_atom_site_fract_z
Sc1 Sc 0.1000 0.0881 0.0000
Sc2 Sc 0.1295 0.8584 0.5000
B1 B 0.0000 0.0000 0.5000
Cl1 Cl 0.0318 0.7431 0.0000
Cl2 Cl 0.2200 0.1924 0.5000
Cl3 Cl 0.2433 0.4413 0.0000
```

Top 8 peaks for 2θ = 10–80°, by intensity:
2θ/deg, intensity, h k l
10.3, 1000, 1 1 0
36.5, 340, 3 2 1
32.4, 266, 2 2 1
36.4, 201, 2 3 1
36.8, 152, 3 4 0
51.3, 102, 0 6 1
52.7, 98, 6 1 1
50.6, 97, 0 0 2


(3)
Structure and theoretical X-ray powder pattern of Sc4B2Cl5 (DFT lattice parameters and positions (GGA-PBE); Cu Ka).
Lines closer than 0.1° are merged.

```
data_Sc4B2Cl5
_symmetry_space_group_name_H-M 'I m m m'
_symmetry_Int_Tables_number 71
_symmetry_space_group_name_Hall '-I 2 2'
_cell_length_a 3.5191
_cell_length_b 7.2236
_cell_length_c 20.7196
_cell_angle_alpha 90.00
_cell_angle_beta 90.00
_cell_angle_gamma 90.00
loop_
_atom_site_label
_atom_site_type_symbol
_atom_site_fract_x
_atom_site_fract_y
_atom_site_fract_z
Sc1 Sc 0.0000 0.0000 0.1425
Sc2 Sc 0.0000 0.2945 0.5000
B1 B 0.0000 0.0000 0.0379
Cl1 Cl 0.0000 0.2555 0.3381
Cl2 Cl 0.0000 0.5000 0.0000
```

Top 8 peaks for 2θ = 10–80°, by intensity:
2θ/deg, intensity, h k l
35.9, 1000, 1 2 1
25.8, 916, 0 0 6
47.4, 486, 1 2 7
13.0, 408, 0 1 1
17.8, 304, 0 1 3
33.2, 284, 1 1 4
42.0, 181, 1 2 5
52.0, 142, 2 0 0